The following is a theoretical X-ray diffraction stick pattern of RbHg3Te4Pb. It was derived from a structure optimized by DFT (PBE), using Cu Kα (λ = 1.5418 Å).
No peak broadening, texture or thermal motion is included.

Atomic structure:
a b c (Å): 7.3591 7.3591 7.3591
angles (deg): 90.00 90.00 90.00
Space group P-43m (No. 215)
Asymmetric unit:
1 Rb 0.0000 0.0000 0.0000 (multiplicity 1)
2 Hg 0.0000 0.5000 0.5000 (multiplicity 3)
3 Te 0.2659 0.2659 0.2659 (multiplicity 4)
4 Pb 0.5000 0.5000 0.5000 (multiplicity 1)

Principal peaks in the range 5° ≤ 2θ ≤ 70°, low angle first:
d (Å)	I_rel	(hkl)
7.359	41	1 0 0
4.249	59	1 1 1
3.291	14	2 1 0
2.602	100	2 2 0
2.453	13	2 2 1
2.219	31	3 1 1
1.840	18	4 0 0
1.502	35	4 2 2

---

The following is a theoretical X-ray diffraction stick pattern of Hg2Te3Pb. It was derived from a structure optimized by DFT (PBE), using Cu Kα (λ = 1.5418 Å).
No peak broadening, texture or thermal motion is included.

Atomic structure:
a b c (Å): 4.3368 16.2165 10.6203
angles (deg): 90.00 90.00 90.00
Space group Cmcm (No. 63)
Asymmetric unit:
1 Hg 0.0000 0.0000 0.0000 (multiplicity 4)
2 Hg 0.0000 0.4602 0.2500 (multiplicity 4)
3 Te 0.0000 0.0794 0.2500 (multiplicity 4)
4 Te 0.0000 0.3398 0.0540 (multiplicity 8)
5 Pb 0.0000 0.2409 0.7500 (multiplicity 4)

Principal peaks in the range 5° ≤ 2θ ≤ 70°, low angle first:
d (Å)	I_rel	(hkl)
3.223	100	1 3 1
2.853	97	1 3 2
2.655	39	0 0 4
2.446	38	1 3 3
2.409	46	0 6 2
2.168	34	2 0 0
1.799	22	1 3 5
1.612	28	2 6 2